Diffraction record for Li2SnCSO7. The powder diffraction line list is simulated, not measured: it uses a structure optimized by DFT (PBE) and Cu Kα.
Neutral-atom scattering factors, no anomalous dispersion.

Cell and atoms:
```
data_Li2SnCSO7
_cell_length_a 5.110
_cell_length_b 6.828
_cell_length_c 9.527
_cell_angle_alpha 90.00
_cell_angle_beta 90.23
_cell_angle_gamma 90.00
_space_group_name_H-M_alt 'P 1 21/m 1'
_space_group_IT_number 11
loop_
_space_group_symop_operation_xyz
'x,y,z'
'-x,-y,-z'
'-x,y+1/2,-z'
'x,-y+1/2,z'
loop_
_atom_site_label
_atom_site_type_symbol
_atom_site_fract_x
_atom_site_fract_y
_atom_site_fract_z
_atom_site_occupancy
Li1 Li 0.219 0.026 0.319 1
Sn1 Sn 0.234 0.250 0.874 1
C1 C 0.232 0.250 0.586 1
S1 S 0.232 0.750 0.863 1
O1 O 0.014 0.250 0.660 1
O2 O 0.085 0.574 0.810 1
O3 O 0.226 0.250 0.453 1
O4 O 0.227 0.750 0.021 1
O5 O 0.452 0.250 0.658 1
O6 O 0.497 0.250 0.188 1
```

The 12 most intense peaks (10° ≤ 2θ ≤ 90°), in order of rising 2θ:
| h k l | 2θ/deg | I (rel.) |
| --- | --- | --- |
| 0 1 1 | 15.97 | 35 |
| 1 0 1 | 19.72 | 100 |
| 1 1 0 | 21.72 | 48 |
| 1 0 -2 | 25.51 | 50 |
| 1 0 2 | 25.62 | 41 |
| 0 2 0 | 26.10 | 82 |
| 0 2 1 | 27.76 | 19 |
| 0 0 3 | 28.10 | 17 |
| 1 2 -1 | 32.92 | 46 |
| 1 2 2 | 36.87 | 46 |
| 2 1 2 | 42.33 | 20 |
| 2 2 -1 | 45.34 | 19 |